Record 1
Simulated X-ray powder pattern of Dy2Y2In3 for a wavelength of 1.5418 Å, from a cell relaxed with GGA-PBE.
No peak broadening, texture or thermal motion is included.

```
data_Dy2Y2In3
_space_group_name_H-M_alt 'P 1'
_space_group_IT_number 1
_cell_length_a 3.4907
_cell_length_b 3.4994
_cell_length_c 16.1200
_cell_angle_alpha 90.00
_cell_angle_beta 96.21
_cell_angle_gamma 90.00
loop_
_space_group_symop_operation_xyz
'x,y,z'
loop_
_atom_site_label
_atom_site_type_symbol
_atom_site_fract_x
_atom_site_fract_y
_atom_site_fract_z
_atom_site_occupancy
Dy1 Dy 0.2019 0.0000 0.4026 1
Dy2 Dy 0.7981 0.0000 0.5974 1
Y1 Y 0.0677 0.0000 0.1352 1
Y2 Y 0.9323 0.0000 0.8648 1
In1 In 0.3637 0.5000 0.7288 1
In2 In 0.5000 0.5000 0.0000 1
In3 In 0.6363 0.5000 0.2712 1
```

The 12 most intense peaks (2θ from 10° to 90°), sorted by position:
| 2θ (°) | I (rel.) |
| --- | --- |
| 26.1 | 14 |
| 30.5 | 14 |
| 32.2 | 100 |
| 34.0 | 77 |
| 36.5 | 66 |
| 37.3 | 17 |
| 39.4 | 17 |
| 52.3 | 15 |
| 52.4 | 15 |
| 57.0 | 44 |
| 62.8 | 28 |
| 64.0 | 24 |

Record 2
Simulated X-ray powder pattern of Rb2TlSb2Pt for a wavelength of 1.5418 Å, from a cell relaxed with GGA-PBE.
No peak broadening, texture or thermal motion is included.

```
data_Rb2TlSb2Pt
_space_group_name_H-M_alt 'P 1'
_space_group_IT_number 1
_cell_length_a 9.4883
_cell_length_b 9.4883
_cell_length_c 9.4883
_cell_angle_alpha 132.10
_cell_angle_beta 68.14
_cell_angle_gamma 134.57
loop_
_space_group_symop_operation_xyz
'x,y,z'
loop_
_atom_site_label
_atom_site_type_symbol
_atom_site_fract_x
_atom_site_fract_y
_atom_site_fract_z
_atom_site_occupancy
Rb1 Rb 0.1692 0.2435 0.4127 1
Rb2 Rb 0.3308 0.7435 0.0742 1
Rb3 Rb 0.6692 0.2565 0.9258 1
Rb4 Rb 0.8308 0.7565 0.5873 1
Tl1 Tl 0.2500 0.2500 0.0000 1
Tl2 Tl 0.7500 0.7500 0.0000 1
Sb1 Sb 0.0820 0.6900 0.7721 1
Sb2 Sb 0.4180 0.1900 0.6080 1
Sb3 Sb 0.5820 0.8100 0.3920 1
Sb4 Sb 0.9180 0.3100 0.2279 1
Pt1 Pt 0.2500 0.7500 0.5000 1
Pt2 Pt 0.7500 0.2500 0.5000 1
```

The 12 most intense peaks (2θ from 10° to 90°), sorted by position:
| 2θ (°) | I (rel.) |
| --- | --- |
| 11.3 | 100 |
| 25.8 | 26 |
| 26.8 | 22 |
| 28.3 | 34 |
| 32.6 | 29 |
| 33.4 | 30 |
| 33.8 | 47 |
| 35.7 | 22 |
| 42.4 | 10 |
| 52.3 | 11 |
| 52.9 | 12 |
| 60.7 | 11 |

Record 3
Simulated X-ray powder pattern of La5Y3 for a wavelength of 1.5418 Å, from a cell relaxed with GGA-PBE.
No peak broadening, texture or thermal motion is included.

```
data_La5Y3
_space_group_name_H-M_alt 'P 1'
_space_group_IT_number 1
_cell_length_a 3.7141
_cell_length_b 3.7141
_cell_length_c 20.4356
_cell_angle_alpha 90.00
_cell_angle_beta 90.00
_cell_angle_gamma 90.00
loop_
_space_group_symop_operation_xyz
'x,y,z'
loop_
_atom_site_label
_atom_site_type_symbol
_atom_site_fract_x
_atom_site_fract_y
_atom_site_fract_z
_atom_site_occupancy
La1 La 0.0000 0.0000 0.0000 1
La2 La 0.0000 0.0000 0.2491 1
La3 La 0.0000 0.0000 0.7509 1
La4 La 0.5000 0.5000 0.3752 1
La5 La 0.5000 0.5000 0.6248 1
Y1 Y 0.0000 0.0000 0.5000 1
Y2 Y 0.5000 0.5000 0.1228 1
Y3 Y 0.5000 0.5000 0.8772 1
```

The 12 most intense peaks (2θ from 10° to 90°), sorted by position:
| 2θ (°) | I (rel.) |
| --- | --- |
| 29.7 | 100 |
| 34.1 | 35 |
| 35.1 | 16 |
| 49.1 | 12 |
| 49.8 | 23 |
| 58.4 | 29 |
| 59.7 | 13 |
| 61.8 | 12 |
| 79.7 | 6 |
| 80.8 | 11 |
| 82.0 | 5 |
| 82.6 | 5 |